Diffraction record for BaAcPd10. The powder XRD pattern is theoretical, not measured: it uses a PBE-relaxed structure and CuKα.

Top 10 peaks for 10 to 90 degrees two-theta, by intensity:
| 2θ (°) | intensity |
| --- | --- |
| 38.3 | 1000 |
| 37.6 | 324 |
| 27.3 | 301 |
| 40.4 | 295 |
| 32.4 | 253 |
| 61.7 | 241 |
| 82.0 | 219 |
| 56.3 | 199 |
| 42.8 | 188 |
| 67.8 | 185 |

Lattice parameters (Å, degrees): 4.4669 5.5290 9.5828 90.00 90.00 90.00
Space group Pmmm (No. 47)
Unique sites:
Ba1 0.0000 0.0000 0.0000 x1
Ac1 0.0000 0.5000 0.5000 x1
Pd1 0.0000 0.0000 0.3383 x2
Pd2 0.0000 0.5000 0.1725 x2
Pd3 0.5000 0.0000 0.5000 x1
Pd4 0.5000 0.2525 0.2549 x4
Pd5 0.5000 0.5000 0.0000 x1

Diffraction record for Nd2CuBPd6. The powder XRD pattern is theoretical, not measured: it uses a PBE-relaxed structure and CuKα.

Top 10 peaks for 10 to 90 degrees two-theta, by intensity:
| 2θ (°) | intensity |
| --- | --- |
| 37.4 | 1000 |
| 40.9 | 614 |
| 34.3 | 249 |
| 29.4 | 216 |
| 65.1 | 213 |
| 27.8 | 210 |
| 59.6 | 159 |
| 53.5 | 136 |
| 79.8 | 107 |
| 77.6 | 98 |

Lattice parameters (Å, degrees): 5.7315 5.7358 7.2167 113.37 90.00 119.96
Space group P-1 (No. 2)
Unique sites:
Nd1 0.2207 0.4404 0.1575 x2
Cu1 0.5000 0.0000 0.0000 x1
B1 0.0000 0.0000 0.5000 x1
Pd1 0.2324 0.4664 0.6924 x2
Pd2 0.2316 0.9533 0.6899 x2
Pd3 0.2810 0.0482 0.3120 x2